Starting from a PBE-relaxed structure, the X-ray diffraction stick pattern of Pm3PuO8 was computed for λ = 1.5418 Å (Cu Kα).
No peak broadening, texture or thermal motion is included.

Structural model:
```
Pm3PuO8
1.0
3.040 -5.441 0.000
3.040 5.441 0.000
0.000 0.000 6.934
Pm Pu O
3 1 8
Direct
0.000 0.000 0.000
0.000 0.500 0.767
0.500 0.000 0.233
0.000 0.000 0.500
0.182 0.818 0.500
0.193 0.247 0.720
0.211 0.789 0.000
0.247 0.193 0.280
0.753 0.807 0.280
0.789 0.211 0.000
0.807 0.753 0.720
0.818 0.182 0.500
```

Top 10 peaks for 10 to 90 degrees two-theta, low angle first:
- 2θ = 16.70°, I 100
- 2θ = 21.08°, I 69
- 2θ = 28.66°, I 18
- 2θ = 30.58°, I 41
- 2θ = 30.80°, I 41
- 2θ = 31.49°, I 18
- 2θ = 32.93°, I 30
- 2θ = 33.78°, I 33
- 2θ = 39.42°, I 42
- 2θ = 52.28°, I 31

***

Starting from a PBE-relaxed structure, the X-ray diffraction stick pattern of Tl2InBi3 was computed for λ = 1.5418 Å (Cu Kα).
No peak broadening, texture or thermal motion is included.

Structural model:
```
Tl2InBi3
1.0
4.439 -4.936 0.000
4.439 4.936 0.000
-1.640 0.000 8.707
Tl In Bi
4 2 6
Direct
0.125 0.626 0.876
0.374 0.875 0.624
0.626 0.125 0.376
0.875 0.374 0.124
0.417 0.583 0.250
0.583 0.417 0.750
0.081 0.919 0.250
0.165 0.336 0.507
0.336 0.165 0.007
0.664 0.835 0.993
0.835 0.664 0.493
0.919 0.081 0.750
```

Top 10 peaks for 10 to 90 degrees two-theta, low angle first:
- 2θ = 31.44°, I 76
- 2θ = 31.61°, I 37
- 2θ = 31.91°, I 100
- 2θ = 45.34°, I 13
- 2θ = 45.50°, I 25
- 2θ = 53.70°, I 9
- 2θ = 55.87°, I 8
- 2θ = 56.22°, I 35
- 2θ = 63.57°, I 26
- 2θ = 65.63°, I 10

***

Starting from a PBE-relaxed structure, the X-ray diffraction stick pattern of Mg7InBi2Pb2 was computed for λ = 1.5418 Å (Cu Kα).
No peak broadening, texture or thermal motion is included.

Structural model:
```
Mg7InBi2Pb2
1.0
3.337 -3.332 0.000
3.337 3.332 0.000
-0.307 0.000 14.332
Mg In Bi Pb
7 1 2 2
Direct
0.000 0.000 0.000
0.002 0.501 0.149
0.249 0.249 0.500
0.499 0.998 0.851
0.501 0.002 0.149
0.751 0.751 0.500
0.998 0.499 0.851
0.500 0.500 0.000
0.499 0.499 0.313
0.501 0.501 0.687
0.001 0.001 0.688
0.999 0.999 0.312
```

Top 10 peaks for 10 to 90 degrees two-theta, low angle first:
- 2θ = 12.35°, I 63
- 2θ = 18.57°, I 87
- 2θ = 26.74°, I 100
- 2θ = 32.40°, I 46
- 2θ = 32.77°, I 72
- 2θ = 33.08°, I 43
- 2θ = 38.17°, I 55
- 2θ = 42.50°, I 29
- 2θ = 43.04°, I 28
- 2θ = 55.11°, I 34

***

Starting from a PBE-relaxed structure, the X-ray diffraction stick pattern of Mg4BeTl was computed for λ = 1.5418 Å (Cu Kα).
No peak broadening, texture or thermal motion is included.

Structural model:
```
Mg4BeTl
1.0
0.000 4.079 4.079
4.079 0.000 4.079
4.079 4.079 0.000
Mg Be Tl
4 1 1
Direct
0.376 0.376 0.376
0.376 0.376 0.873
0.376 0.873 0.376
0.873 0.376 0.376
0.750 0.750 0.750
0.000 0.000 0.000
```

Top 10 peaks for 10 to 90 degrees two-theta, low angle first:
- 2θ = 18.84°, I 80
- 2θ = 21.79°, I 59
- 2θ = 31.01°, I 57
- 2θ = 36.53°, I 100
- 2θ = 38.22°, I 25
- 2θ = 48.65°, I 22
- 2θ = 50.00°, I 27
- 2θ = 55.16°, I 23
- 2θ = 58.82°, I 34
- 2θ = 67.99°, I 16

***

Starting from a PBE-relaxed structure, the X-ray diffraction stick pattern of Cs2K2Hg was computed for λ = 1.5418 Å (Cu Kα).
No peak broadening, texture or thermal motion is included.

Structural model:
```
Cs2K2Hg
1.0
-3.283 3.283 16.575
3.283 -3.283 16.575
3.283 3.283 -16.575
Cs K Hg
4 4 2
Direct
0.062 0.312 0.750
0.312 0.062 0.250
0.688 0.938 0.750
0.938 0.688 0.250
0.194 0.444 0.750
0.444 0.194 0.250
0.556 0.806 0.750
0.806 0.556 0.250
0.375 0.625 0.750
0.625 0.375 0.250
```

Top 10 peaks for 10 to 90 degrees two-theta, low angle first:
- 2θ = 10.67°, I 25
- 2θ = 15.70°, I 89
- 2θ = 23.16°, I 23
- 2θ = 25.05°, I 100
- 2θ = 27.16°, I 57
- 2θ = 31.52°, I 34
- 2θ = 33.21°, I 38
- 2θ = 38.79°, I 22
- 2θ = 46.73°, I 36
- 2θ = 51.96°, I 21

***

Starting from a PBE-relaxed structure, the X-ray diffraction stick pattern of Pm4AsN2 was computed for λ = 1.5418 Å (Cu Kα).
No peak broadening, texture or thermal motion is included.

Structural model:
```
Pm4AsN2
1.0
-4.303 4.303 4.193
4.303 -4.303 4.193
4.303 4.303 -4.193
Pm As N
8 2 4
Direct
0.222 0.289 0.567
0.222 0.655 0.933
0.289 0.222 0.067
0.345 0.778 0.567
0.655 0.222 0.433
0.711 0.778 0.933
0.778 0.345 0.067
0.778 0.711 0.433
0.125 0.875 0.250
0.875 0.125 0.750
0.000 0.500 0.500
0.500 0.000 0.000
0.500 0.500 0.000
0.500 0.500 0.500
```

Top 10 peaks for 10 to 90 degrees two-theta, low angle first:
- 2θ = 20.64°, I 21
- 2θ = 29.35°, I 33
- 2θ = 29.75°, I 100
- 2θ = 33.00°, I 56
- 2θ = 33.71°, I 40
- 2θ = 39.24°, I 49
- 2θ = 50.26°, I 22
- 2θ = 53.05°, I 17
- 2θ = 54.42°, I 22
- 2θ = 63.47°, I 16

***

Starting from a PBE-relaxed structure, the X-ray diffraction stick pattern of ThGe3Pd5 was computed for λ = 1.5418 Å (Cu Kα).
No peak broadening, texture or thermal motion is included.

Structural model:
```
ThGe3Pd5
1.0
1.920 -6.604 0.000
1.920 6.604 0.000
0.000 0.000 12.980
Th Ge Pd
2 6 10
Direct
0.129 0.871 0.750
0.871 0.129 0.250
0.129 0.871 0.250
0.381 0.619 0.042
0.381 0.619 0.458
0.619 0.381 0.542
0.619 0.381 0.958
0.871 0.129 0.750
0.000 0.000 0.000
0.000 0.000 0.500
0.202 0.798 0.074
0.202 0.798 0.426
0.454 0.546 0.647
0.454 0.546 0.853
0.546 0.454 0.147
0.546 0.454 0.353
0.798 0.202 0.574
0.798 0.202 0.926
```

Top 10 peaks for 10 to 90 degrees two-theta, low angle first:
- 2θ = 24.60°, I 30
- 2θ = 30.37°, I 39
- 2θ = 30.90°, I 46
- 2θ = 31.67°, I 52
- 2θ = 31.88°, I 100
- 2θ = 33.91°, I 82
- 2θ = 36.90°, I 90
- 2θ = 41.61°, I 37
- 2θ = 43.87°, I 91
- 2θ = 47.34°, I 62